No. 1
For PrSiN2, a crystal structure in Alexandria, relaxed with PBE gives the theoretical powder XRD pattern in this record (Cu Kα X-rays).
Intensities are scaled so that the largest is 1000.

Structure:
```
8
Lattice="4.462 0.000 0.000 0.009 5.716 0.000 0.001 0.001 5.716" Properties=species:S:1:pos:R:3 pbc="T T T"
Pr 0.000 0.000 0.000
Pr 2.236 2.859 2.858
Si 1.116 0.001 2.858
Si 3.356 5.716 2.858
N 0.010 4.423 3.220
N 2.232 0.363 4.151
N 2.240 5.354 1.565
N 4.462 1.294 2.496
```

Top 10 peaks for 2θ from 10° to 90°, in order of rising 2θ:
- (0 1 0), 2θ = 15.50°, I = 224
- (0 1 1), 2θ = 21.99°, I = 479
- (1 1 0), 2θ = 25.32°, I = 1000
- (0 2 0), 2θ = 31.30°, I = 479
- (1 1 2), 2θ = 40.68°, I = 803
- (0 2 2), 2θ = 44.85°, I = 150
- (2 1 -1), 2θ = 46.50°, I = 317
- (1 0 3), 2θ = 52.20°, I = 143
- (1 2 3), 2θ = 62.14°, I = 194
- (2 3 1), 2θ = 66.57°, I = 176

No. 2
For PrSi3N5, a crystal structure in Alexandria, relaxed with PBE gives the theoretical powder XRD pattern in this record (Cu Kα X-rays).
Intensities are scaled so that the largest is 1000.

Structure:
```
36
Lattice="4.814 0.000 0.000 0.000 7.883 0.000 0.000 0.000 11.328" Properties=species:S:1:pos:R:3 pbc="T T T"
Pr 0.019 0.474 1.934
Pr 2.388 7.409 7.598
Pr 2.426 3.468 9.395
Pr 4.795 4.415 3.730
Si 0.070 1.282 9.505
Si 0.079 2.311 6.608
Si 0.116 3.680 0.462
Si 2.291 4.203 6.126
Si 2.328 5.571 0.944
Si 2.336 6.600 3.841
Si 2.477 2.659 1.823
Si 2.486 1.630 4.720
Si 2.523 0.261 10.866
Si 4.698 7.621 5.202
Si 4.734 6.253 10.384
Si 4.743 5.224 7.488
N 0.217 2.710 10.415
N 0.808 1.636 7.990
N 0.818 3.056 1.897
N 0.891 7.739 10.268
N 0.988 5.120 11.204
N 1.419 2.762 5.540
N 1.516 0.144 4.604
N 1.588 4.827 7.561
N 1.599 6.247 2.325
N 2.190 5.173 4.751
N 2.623 1.232 0.914
N 3.215 2.305 3.339
N 3.225 0.886 9.432
N 3.298 4.085 1.061
N 3.395 6.704 0.125
N 3.826 1.179 5.789
N 3.923 3.797 6.725
N 3.995 6.997 3.768
N 4.006 5.577 9.003
N 4.597 6.651 6.578
```

Top 10 peaks for 2θ from 10° to 90°, in order of rising 2θ:
- (0 1 2), 2θ = 19.30°, I = 242
- (1 0 1), 2θ = 20.04°, I = 381
- (1 2 1), 2θ = 30.35°, I = 706
- (1 1 3), 2θ = 32.20°, I = 1000
- (1 2 2), 2θ = 33.37°, I = 245
- (0 1 4), 2θ = 33.63°, I = 298
- (2 0 0), 2θ = 37.36°, I = 253
- (1 3 2), 2θ = 42.35°, I = 337
- (2 1 4), 2θ = 51.11°, I = 321
- (1 2 6), 2θ = 57.39°, I = 234